Calculated powder diffraction line list
Compound: Ho2SiRu
Radiation: Cu Ka
Structure: DFT lattice parameters and positions (PBE)

Structural model:
```
Ho2SiRu
1.0
5.8832 0.0000 0.0000
0.0000 3.6892 0.0000
-2.4183 0.0000 7.9523
Ho Si Ru
4 2 2
Direct
0.2060 0.2500 0.4213
0.2788 0.7500 0.0611
0.7212 0.2500 0.9389
0.7940 0.7500 0.5787
0.3562 0.7500 0.7188
0.6438 0.2500 0.2812
0.1228 0.2500 0.7824
0.8772 0.7500 0.2176
```

Main lines, low angle first (10 to 90 degrees two-theta):
two_theta, I (rel.), index
29.33, 40, 1 1 -1
31.80, 32, 2 0 0
32.76, 73, 1 1 1
32.89, 33, 1 0 -3
33.16, 100, 2 0 -2
41.67, 36, 1 0 3